Entry 1:
The following is a simulated XRD peak list of NaHgF3. It was derived from DFT lattice parameters and positions (GGA-PBE), using copper Kα.

Crystal structure
Cell: 6.867 6.867 6.867 Å, 90.00 90.00 90.00°
Positions (direct):
Na 0.133 0.367 0.633
Na 0.367 0.633 0.133
Na 0.633 0.133 0.367
Na 0.867 0.867 0.867
Hg 0.090 0.910 0.410
Hg 0.410 0.090 0.910
Hg 0.590 0.590 0.590
Hg 0.910 0.410 0.090
F 0.027 0.730 0.127
F 0.127 0.027 0.730
F 0.230 0.373 0.973
F 0.270 0.627 0.473
F 0.373 0.973 0.230
F 0.473 0.270 0.627
F 0.527 0.770 0.873
F 0.627 0.473 0.270
F 0.730 0.127 0.027
F 0.770 0.873 0.527
F 0.873 0.527 0.770
F 0.973 0.230 0.373

Peak list (10 most intense, 2θ from 5° to 70°, in order of rising 2θ)
| two_theta | I/Imax |
| --- | --- |
| 18.3 | 56 |
| 22.4 | 64 |
| 29.1 | 100 |
| 31.9 | 28 |
| 39.4 | 19 |
| 41.6 | 41 |
| 47.8 | 20 |
| 49.7 | 56 |
| 55.1 | 22 |
| 61.9 | 15 |


Entry 2:
The following is a simulated XRD peak list of Ca3Tb4Te8. It was derived from DFT lattice parameters and positions (GGA-PBE), using copper Kα.

Crystal structure
Cell: 8.822 8.822 8.793 Å, 119.71 119.71 90.15°
Positions (direct):
Ca 0.000 0.000 0.000
Ca 0.000 0.500 0.000
Ca 0.500 0.000 0.000
Tb 0.000 0.500 0.500
Tb 0.500 0.000 0.500
Tb 0.500 0.500 0.000
Tb 0.500 0.500 0.500
Te 0.249 0.249 0.504
Te 0.249 0.751 0.500
Te 0.251 0.749 0.000
Te 0.254 0.254 0.002
Te 0.746 0.746 0.998
Te 0.749 0.251 0.000
Te 0.751 0.249 0.500
Te 0.751 0.751 0.496

Peak list (10 most intense, 2θ from 5° to 70°, in order of rising 2θ)
| two_theta | I/Imax |
| --- | --- |
| 12.2 | 18 |
| 28.5 | 100 |
| 28.7 | 49 |
| 40.7 | 19 |
| 40.8 | 38 |
| 40.9 | 38 |
| 41.1 | 19 |
| 50.5 | 20 |
| 50.8 | 20 |
| 67.0 | 17 |


Entry 3:
The following is a simulated XRD peak list of TmAgCl4. It was derived from DFT lattice parameters and positions (GGA-PBE), using copper Kα.

Crystal structure
Cell: 6.519 3.941 7.236 Å, 90.00 94.80 90.00°
Positions (direct):
Tm 0.000 0.000 0.000
Ag 0.000 0.500 0.500
Cl 0.193 0.000 0.701
Cl 0.238 0.500 0.135
Cl 0.762 0.500 0.865
Cl 0.807 0.000 0.299

Peak list (10 most intense, 2θ from 5° to 70°, in order of rising 2θ)
| two_theta | I/Imax |
| --- | --- |
| 13.6 | 100 |
| 24.7 | 11 |
| 25.8 | 20 |
| 27.3 | 28 |
| 29.8 | 49 |
| 35.6 | 14 |
| 37.2 | 15 |
| 38.8 | 33 |
| 44.1 | 17 |
| 48.7 | 12 |


Entry 4:
The following is a simulated XRD peak list of CaIn5. It was derived from DFT lattice parameters and positions (GGA-PBE), using copper Kα.

Crystal structure
Cell: 5.794 5.794 5.867 Å, 99.45 99.45 118.54°
Positions (direct):
Ca 0.000 0.000 0.000
In 0.171 0.829 0.500
In 0.334 0.666 0.000
In 0.500 0.500 0.500
In 0.666 0.334 0.000
In 0.829 0.171 0.500

Peak list (10 most intense, 2θ from 5° to 70°, in order of rising 2θ)
| two_theta | I/Imax |
| --- | --- |
| 31.9 | 54 |
| 32.2 | 54 |
| 32.8 | 100 |
| 37.5 | 35 |
| 37.7 | 68 |
| 54.1 | 23 |
| 54.5 | 23 |
| 63.9 | 14 |
| 64.3 | 13 |
| 64.8 | 13 |


Entry 5:
The following is a simulated XRD peak list of Ta2Ni13. It was derived from DFT lattice parameters and positions (GGA-PBE), using copper Kα.

Crystal structure
Cell: 7.165 7.165 7.165 Å, 52.10 52.10 52.10°
Positions (direct):
Ta 0.140 0.140 0.140
Ta 0.860 0.860 0.860
Ni 0.000 0.000 0.000
Ni 0.121 0.121 0.508
Ni 0.121 0.508 0.121
Ni 0.254 0.254 0.631
Ni 0.254 0.631 0.254
Ni 0.369 0.746 0.746
Ni 0.492 0.879 0.879
Ni 0.508 0.121 0.121
Ni 0.631 0.254 0.254
Ni 0.746 0.369 0.746
Ni 0.746 0.746 0.369
Ni 0.879 0.492 0.879
Ni 0.879 0.879 0.492

Peak list (10 most intense, 2θ from 5° to 70°, in order of rising 2θ)
| two_theta | I/Imax |
| --- | --- |
| 17.0 | 78 |
| 25.2 | 37 |
| 28.4 | 30 |
| 31.9 | 40 |
| 40.9 | 28 |
| 42.4 | 52 |
| 44.2 | 100 |
| 47.9 | 78 |
| 58.7 | 23 |
| 59.0 | 26 |


Entry 6:
The following is a simulated XRD peak list of Al5Au. It was derived from DFT lattice parameters and positions (GGA-PBE), using copper Kα.

Crystal structure
Cell: 2.931 2.931 11.662 Å, 90.00 90.00 90.00°
Positions (direct):
Al 0.000 0.000 0.000
Al 0.000 0.000 0.337
Al 0.000 0.000 0.663
Al 0.500 0.500 0.166
Al 0.500 0.500 0.834
Au 0.500 0.500 0.500

Peak list (10 most intense, 2θ from 5° to 70°, in order of rising 2θ)
| two_theta | I/Imax |
| --- | --- |
| 7.6 | 100 |
| 15.2 | 24 |
| 22.9 | 9 |
| 30.5 | 9 |
| 31.5 | 17 |
| 34.2 | 14 |
| 38.5 | 39 |
| 43.7 | 14 |
| 43.8 | 8 |
| 65.9 | 8 |


Entry 7:
The following is a simulated XRD peak list of Ga3Ni4. It was derived from DFT lattice parameters and positions (GGA-PBE), using copper Kα.

Crystal structure
Cell: 6.486 6.486 6.486 Å, 113.59 113.59 113.59°
Positions (direct):
Ga 0.037 0.627 0.764
Ga 0.236 0.963 0.373
Ga 0.373 0.236 0.963
Ga 0.627 0.764 0.037
Ga 0.764 0.037 0.627
Ga 0.963 0.373 0.236
Ni 0.000 0.000 0.000
Ni 0.119 0.270 0.567
Ni 0.270 0.567 0.119
Ni 0.433 0.881 0.730
Ni 0.500 0.500 0.500
Ni 0.567 0.119 0.270
Ni 0.730 0.433 0.881
Ni 0.881 0.730 0.433

Peak list (9 most intense, 2θ from 5° to 70°, in order of rising 2θ)
| two_theta | I/Imax |
| --- | --- |
| 37.1 | 1 |
| 38.9 | 2 |
| 40.8 | 1 |
| 44.2 | 100 |
| 45.8 | 1 |
| 50.5 | 1 |
| 57.6 | 1 |
| 62.9 | 1 |
| 64.2 | 15 |


Entry 8:
The following is a simulated XRD peak list of Y3In4. It was derived from DFT lattice parameters and positions (GGA-PBE), using copper Kα.

Crystal structure
Cell: 10.904 10.904 10.904 Å, 160.48 154.40 32.40°
Positions (direct):
Y 0.000 0.000 0.000
Y 0.302 0.802 0.500
Y 0.698 0.198 0.500
In 0.148 0.648 0.500
In 0.432 0.432 0.000
In 0.568 0.568 0.000
In 0.852 0.352 0.500

Peak list (10 most intense, 2θ from 5° to 70°, in order of rising 2θ)
| two_theta | I/Imax |
| --- | --- |
| 24.5 | 19 |
| 31.7 | 100 |
| 32.3 | 38 |
| 35.3 | 84 |
| 37.2 | 42 |
| 40.1 | 31 |
| 49.3 | 18 |
| 50.1 | 22 |
| 62.1 | 36 |
| 63.4 | 17 |